Simulated powder XRD pattern
Compound: CrFeP2O8
Radiation: λ = 1.5418 Å (Cu Kα)
Structure: a DFT-relaxed cell (GGA+U, Alexandria)
Neutral-atom scattering factors, no anomalous dispersion.

Principal peaks in the range 10 to 80 degrees two-theta, in order of rising 2θ:
2θ/deg  Rel. int.
17.86  92
20.28  61
20.61  51
23.55  36
25.46  67
25.73  66
30.74  100
36.04  73
36.63  68
52.30  26

Atomic structure:
Unit cell a=4.831 b=5.817 c=9.937 alpha=90.00 beta=91.17 gamma=90.00
Positions (direct):
Cr 0.042 0.250 0.274
Cr 0.958 0.750 0.726
Fe 0.454 0.250 0.771
Fe 0.546 0.750 0.229
P 0.107 0.750 0.410
P 0.406 0.750 0.905
P 0.594 0.250 0.095
P 0.893 0.250 0.590
O 0.175 0.750 0.560
O 0.205 0.250 0.617
O 0.250 0.545 0.830
O 0.250 0.955 0.830
O 0.253 0.543 0.335
O 0.253 0.957 0.335
O 0.284 0.250 0.117
O 0.346 0.750 0.055
O 0.654 0.250 0.945
O 0.716 0.750 0.883
O 0.747 0.043 0.665
O 0.747 0.457 0.665
O 0.750 0.045 0.170
O 0.750 0.455 0.170
O 0.795 0.750 0.383
O 0.825 0.250 0.440